# Pm3Nd3Rh2
Computed PXRD pattern, Cu Kα (λ = 1.5418 Å). Input: a structure optimized by DFT (GGA-PBE).
Peak positions follow from Bragg's law for the DFT cell and can differ from measured ones.

Principal peaks in the range 10° ≤ 2θ ≤ 90°, most intense first:
2θ 30.7, intensity 100, (1 1 4); 2θ 27.8, intensity 51, (1 3 0); 2θ 35.8, intensity 45, (2 0 0); 2θ 36.9, intensity 36, (1 3 4); 2θ 28.4, intensity 26, (0 4 0); 2θ 33.8, intensity 22, (0 4 3)

Unit cell a=5.0152 b=12.5553 c=14.9002 alpha=90.00 beta=90.00 gamma=90.00
Space group Cmcm (No. 63)
One atom of each set of equivalent atoms:
Pm 0.0000 0.1528 0.0183 x8
Pm 0.0000 0.1619 0.7500 x4
Nd 0.0000 0.1338 0.2500 x4
Nd 0.0000 0.4564 0.1181 x8
Rh 0.0000 0.3212 0.6167 x8

---

# Pm2Nd3Rh2
Computed PXRD pattern, Cu Kα (λ = 1.5418 Å). Input: a structure optimized by DFT (GGA-PBE).
Peak positions follow from Bragg's law for the DFT cell and can differ from measured ones.

Principal peaks in the range 10° ≤ 2θ ≤ 90°, most intense first:
2θ 32.0, intensity 100, (2 0 2); 2θ 31.5, intensity 86, (3 1 -1); 2θ 33.5, intensity 77, (3 1 -2); 2θ 30.1, intensity 75, (1 1 -2); 2θ 33.2, intensity 58, (3 1 0); 2θ 34.8, intensity 46, (1 1 2)

Unit cell a=12.4239 b=3.9057 c=9.1743 alpha=90.00 beta=115.59 gamma=90.00
Space group C2/m (No. 12)
One atom of each set of equivalent atoms:
Pm 0.1693 0.0000 0.3113 x4
Nd 0.0000 0.5000 0.5000 x2
Nd 0.1147 0.5000 0.9279 x4
Rh 0.1795 0.0000 0.7433 x4

---

# PmNd3Rh4
Computed PXRD pattern, Cu Kα (λ = 1.5418 Å). Input: a structure optimized by DFT (GGA-PBE).
Peak positions follow from Bragg's law for the DFT cell and can differ from measured ones.

Principal peaks in the range 10° ≤ 2θ ≤ 90°, most intense first:
2θ 35.9, intensity 100, (1 1 0); 2θ 64.5, intensity 27, (1 2 8); 2θ 51.7, intensity 18, (2 0 8); 2θ 87.1, intensity 16, (3 1 8); 2θ 64.6, intensity 9, (3 0 0); 2θ 76.1, intensity 6, (0 2 16)

Unit cell a=4.9998 b=4.9998 c=24.5375 alpha=90.00 beta=90.00 gamma=120.00
Space group R-3m (No. 166, hexagonal axes)
One atom of each set of equivalent atoms:
Pm 0.0000 0.0000 0.0000 x3
Nd 0.0000 0.0000 0.2503 x6
Nd 0.0000 0.0000 0.5000 x3
Rh 0.0000 0.0000 0.1245 x6
Rh 0.0000 0.0000 0.3746 x6